TbPrSmSn: calculated powder diffraction line list (a wavelength of 1.5418 Å), based on the GGA-PBE geometry in Alexandria.
Kinematic intensities with the Lorentz-polarization factor, no thermal factor.

Peak list (8 most intense, 10 to 90 degrees two-theta, low angle first)
2θ 19.7, rel. 1, (1 1 1)
2θ 32.4, rel. 100, (2 2 0)
2θ 38.2, rel. 1, (3 1 1)
2θ 46.4, rel. 18, (4 0 0)
2θ 57.7, rel. 39, (4 2 2)
2θ 67.8, rel. 12, (4 4 0)
2θ 77.1, rel. 17, (6 2 0)
2θ 86.1, rel. 4, (4 4 4)

Structure:
Unit cell a=7.8215 b=7.8215 c=7.8215 alpha=90.00 beta=90.00 gamma=90.00
Atoms (fractional coordinates):
Tb 0.0000 0.0000 0.0000
Tb 0.0000 0.5000 0.5000
Tb 0.5000 0.0000 0.5000
Tb 0.5000 0.5000 0.0000
Pr 0.2500 0.2500 0.2500
Pr 0.2500 0.7500 0.7500
Pr 0.7500 0.2500 0.7500
Pr 0.7500 0.7500 0.2500
Sm 0.2500 0.2500 0.7500
Sm 0.2500 0.7500 0.2500
Sm 0.7500 0.2500 0.2500
Sm 0.7500 0.7500 0.7500
Sn 0.0000 0.0000 0.5000
Sn 0.0000 0.5000 0.0000
Sn 0.5000 0.0000 0.0000
Sn 0.5000 0.5000 0.5000